1.
Computed XRD peak list of Ho2O3 for Cu Kα, 1.54184 Å, from DFT lattice parameters and positions (GGA-PBE).
Peak positions follow from Bragg's law for the DFT cell and can differ from measured ones.

Crystal structure
a b c (Å): 10.6106 10.6106 10.6106
angles (deg): 90.00 90.00 90.00
Space group Ia-3 (No. 206)
One atom of each set of equivalent atoms:
Ho (0.0000, 0.2500, 0.4673) x24
Ho (0.2500, 0.2500, 0.2500) x8
O (0.1089, 0.1516, 0.6204) x48

Largest 12 diffraction maxima, low angle first, 2θ = 10–90°:
- 2θ = 20.50°, I = 10
- 2θ = 29.15°, I = 100
- 2θ = 33.79°, I = 35
- 2θ = 35.91°, I = 6
- 2θ = 43.49°, I = 8
- 2θ = 48.54°, I = 38
- 2θ = 53.22°, I = 5
- 2θ = 57.62°, I = 32
- 2θ = 59.05°, I = 6
- 2θ = 60.45°, I = 7
- 2θ = 78.60°, I = 9
- 2θ = 81.06°, I = 7

2.
Computed XRD peak list of Ho2O3 for Cu Kα, 1.54184 Å, from DFT lattice parameters and positions (GGA-PBE).
Peak positions follow from Bragg's law for the DFT cell and can differ from measured ones.

Crystal structure
a b c (Å): 14.0057 3.4840 8.6143
angles (deg): 90.00 100.38 90.00
Space group C2/m (No. 12)
One atom of each set of equivalent atoms:
Ho (0.0321, 0.0000, 0.3139) x4
Ho (0.1350, 0.5000, 0.9880) x4
Ho (0.1915, 0.5000, 0.6372) x4
O (0.0000, 0.5000, 0.5000) x2
O (0.0292, 0.5000, 0.1570) x4
O (0.1278, 0.0000, 0.7817) x4
O (0.1746, 0.0000, 0.4695) x4
O (0.2064, 0.0000, 0.1229) x4

Largest 12 diffraction maxima, low angle first, 2θ = 10–90°:
- 2θ = 28.89°, I = 89
- 2θ = 29.71°, I = 95
- 2θ = 30.35°, I = 99
- 2θ = 31.68°, I = 63
- 2θ = 32.25°, I = 98
- 2θ = 33.18°, I = 100
- 2θ = 43.14°, I = 51
- 2θ = 48.42°, I = 60
- 2θ = 52.53°, I = 31
- 2θ = 54.53°, I = 40
- 2θ = 56.41°, I = 52
- 2θ = 80.34°, I = 29

3.
Computed XRD peak list of HoO for Cu Kα, 1.54184 Å, from DFT lattice parameters and positions (GGA-PBE).
Peak positions follow from Bragg's law for the DFT cell and can differ from measured ones.

Crystal structure
a b c (Å): 3.9704 3.9704 4.8209
angles (deg): 90.00 90.00 120.00
Space group P6_3/mmc (No. 194)
One atom of each set of equivalent atoms:
Ho (0.3333, 0.6667, 0.2500) x2
O (0.3333, 0.6667, 0.7500) x2

Largest 12 diffraction maxima, low angle first, 2θ = 10–90°:
- 2θ = 25.91°, I = 44
- 2θ = 31.97°, I = 100
- 2θ = 37.30°, I = 22
- 2θ = 45.70°, I = 37
- 2θ = 45.98°, I = 18
- 2θ = 56.86°, I = 21
- 2θ = 60.41°, I = 32
- 2θ = 63.95°, I = 15
- 2θ = 75.81°, I = 18
- 2θ = 82.09°, I = 7
- 2θ = 84.54°, I = 6
- 2θ = 84.74°, I = 6

4.
Computed XRD peak list of HoO3 for Cu Kα, 1.54184 Å, from DFT lattice parameters and positions (GGA-PBE).
Peak positions follow from Bragg's law for the DFT cell and can differ from measured ones.

Crystal structure
a b c (Å): 6.4879 6.4879 3.4024
angles (deg): 90.00 90.00 120.00
Space group P6_3/m (No. 176)
One atom of each set of equivalent atoms:
Ho (0.3333, 0.6667, 0.2500) x2
O (0.0580, 0.4245, 0.7500) x6

Largest 12 diffraction maxima, low angle first, 2θ = 10–90°:
- 2θ = 15.77°, I = 100
- 2θ = 27.50°, I = 63
- 2θ = 30.72°, I = 78
- 2θ = 41.69°, I = 45
- 2θ = 42.57°, I = 13
- 2θ = 48.61°, I = 21
- 2θ = 50.67°, I = 55
- 2θ = 56.76°, I = 10
- 2θ = 61.55°, I = 14
- 2θ = 65.93°, I = 18
- 2θ = 75.50°, I = 11
- 2θ = 79.52°, I = 13